# 1
Pm3Tm5: calculated PXRD pattern (λ = 1.5418 Å (Cu Kα)), based on a crystal structure in Alexandria, relaxed with PBE.
Peak positions follow from Bragg's law for the DFT cell and can differ from measured ones.

Most intense lines, 2θ = 10–80°, sorted by position:
Position (°2θ)  I/Imax
28.5  24
31.6  24
32.7  100
43.1  16
57.0  21
60.8  22

Structure:
```
Pm3Tm5
1.0
3.608 0.000 0.000
0.000 5.659 0.000
0.000 0.000 12.532
Pm Tm
3 5
direct
0.000 0.000 0.000
0.000 0.500 0.176
0.500 0.000 0.257
0.000 0.000 0.509
0.000 0.500 0.670
0.500 0.000 0.751
0.500 0.500 0.427
0.500 0.500 0.914
```

# 2
LiNd3Mg2: calculated PXRD pattern (λ = 1.5418 Å (Cu Kα)), based on a crystal structure in Alexandria, relaxed with PBE.
Peak positions follow from Bragg's law for the DFT cell and can differ from measured ones.

Most intense lines, 2θ = 10–80°, sorted by position:
Position (°2θ)  I/Imax
22.9  73
23.1  36
32.6  51
32.8  100
40.3  33
58.3  38

Structure:
```
LiNd3Mg2
1.0
3.881 0.000 0.000
0.000 3.881 0.000
0.000 0.000 11.557
Li Nd Mg
1 3 2
direct
0.000 0.000 0.000
0.500 0.500 0.168
0.500 0.500 0.500
0.500 0.500 0.832
0.000 0.000 0.334
0.000 0.000 0.666
```

# 3
Tl8Sn2Hg3: calculated PXRD pattern (λ = 1.5418 Å (Cu Kα)), based on a crystal structure in Alexandria, relaxed with PBE.
Peak positions follow from Bragg's law for the DFT cell and can differ from measured ones.

Most intense lines, 2θ = 10–80°, sorted by position:
Position (°2θ)  I/Imax
32.6  56
33.4  100
33.5  100
36.5  42
49.7  35
63.8  32

Structure:
```
Tl8Sn2Hg3
1.0
9.553 0.000 0.000
0.000 4.924 0.000
-3.271 0.000 9.017
Tl Sn Hg
8 2 3
direct
0.108 0.000 0.378
0.135 0.500 0.866
0.380 0.000 0.107
0.385 0.500 0.611
0.615 0.500 0.389
0.620 0.000 0.893
0.865 0.500 0.134
0.892 0.000 0.622
0.263 0.000 0.736
0.737 0.000 0.264
0.000 0.000 0.000
0.250 0.500 0.249
0.750 0.500 0.751
```

# 4
NdIn3Au2: calculated PXRD pattern (λ = 1.5418 Å (Cu Kα)), based on a crystal structure in Alexandria, relaxed with PBE.
Peak positions follow from Bragg's law for the DFT cell and can differ from measured ones.

Most intense lines, 2θ = 10–80°, sorted by position:
Position (°2θ)  I/Imax
29.1  45
33.0  97
33.9  62
36.6  23
38.8  100
40.0  53

Structure:
```
NdIn3Au2
1.0
8.562 -2.252 0.000
8.562 2.252 0.000
-4.441 0.000 7.528
Nd In Au
2 6 4
direct
0.127 0.127 0.131
0.873 0.873 0.869
0.006 0.006 0.662
0.328 0.328 0.127
0.331 0.331 0.527
0.669 0.669 0.473
0.672 0.672 0.873
0.994 0.994 0.338
0.213 0.213 0.712
0.499 0.499 0.157
0.501 0.501 0.843
0.787 0.787 0.288
```

# 5
Y2MgP3Rh12: calculated PXRD pattern (λ = 1.5418 Å (Cu Kα)), based on a crystal structure in Alexandria, relaxed with PBE.
Peak positions follow from Bragg's law for the DFT cell and can differ from measured ones.

Most intense lines, 2θ = 10–80°, sorted by position:
Position (°2θ)  I/Imax
20.0  15
36.5  47
36.9  16
40.7  100
42.4  31
60.2  20

Structure:
```
Y2MgP3Rh12
1.0
4.430 2.558 4.277
-4.430 2.558 4.277
0.000 -5.116 4.277
Y Mg P Rh
2 1 3 12
direct
0.128 0.128 0.128
0.872 0.872 0.872
0.500 0.500 0.500
0.000 0.500 0.500
0.500 0.000 0.500
0.500 0.500 0.000
0.131 0.131 0.594
0.131 0.594 0.131
0.171 0.675 0.675
0.325 0.325 0.829
0.325 0.829 0.325
0.406 0.869 0.869
0.594 0.131 0.131
0.675 0.171 0.675
0.675 0.675 0.171
0.829 0.325 0.325
0.869 0.406 0.869
0.869 0.869 0.406
```

# 6
LiCeBi: calculated PXRD pattern (λ = 1.5418 Å (Cu Kα)), based on a crystal structure in Alexandria, relaxed with PBE.
Peak positions follow from Bragg's law for the DFT cell and can differ from measured ones.

Most intense lines, 2θ = 10–80°, sorted by position:
Position (°2θ)  I/Imax
21.2  49
28.3  100
33.5  74
35.6  59
40.4  41
53.4  63

Structure:
```
LiCeBi
1.0
-2.231 2.231 8.368
2.231 -2.231 8.368
2.231 2.231 -8.368
Li Ce Bi
2 2 2
direct
0.000 0.500 0.500
0.500 0.000 0.500
0.177 0.177 0.000
0.823 0.823 0.000
0.377 0.377 0.000
0.623 0.623 0.000
```

# 7
Dy2HoTmTh: calculated PXRD pattern (λ = 1.5418 Å (Cu Kα)), based on a crystal structure in Alexandria, relaxed with PBE.
Peak positions follow from Bragg's law for the DFT cell and can differ from measured ones.

Most intense lines, 2θ = 10–80°, sorted by position:
Position (°2θ)  I/Imax
28.1  61
28.6  52
30.3  100
30.4  75
31.9  47
34.8  45

Structure:
```
Dy2HoTmTh
1.0
8.467 0.000 0.000
0.000 6.297 0.000
-0.703 0.000 6.245
Dy Ho Tm Th
4 2 2 2
direct
0.187 0.200 0.283
0.187 0.800 0.783
0.813 0.200 0.217
0.813 0.800 0.717
0.500 0.500 0.000
0.500 0.500 0.500
0.000 0.316 0.750
0.000 0.684 0.250
0.500 0.052 0.750
0.500 0.948 0.250
```

# 8
Ti3GaPd4: calculated PXRD pattern (λ = 1.5418 Å (Cu Kα)), based on a crystal structure in Alexandria, relaxed with PBE.
Peak positions follow from Bragg's law for the DFT cell and can differ from measured ones.

Most intense lines, 2θ = 10–80°, sorted by position:
Position (°2θ)  I/Imax
26.9  17
37.7  15
38.4  17
39.0  58
42.1  100
72.8  18

Structure:
```
Ti3GaPd4
1.0
9.225 0.000 0.000
0.000 5.636 0.000
0.000 0.000 4.772
Ti Ga Pd
6 2 8
direct
0.000 0.000 0.000
0.250 0.000 0.398
0.250 0.500 0.387
0.500 0.000 0.000
0.750 0.000 0.602
0.750 0.500 0.613
0.000 0.500 0.000
0.500 0.500 0.000
0.000 0.250 0.500
0.000 0.750 0.500
0.250 0.249 0.884
0.250 0.751 0.884
0.500 0.250 0.500
0.500 0.750 0.500
0.750 0.249 0.116
0.750 0.751 0.116
```